No. 1
Diffraction record for Cs2KCrC6N6. The X-ray diffraction stick pattern is calculated, not measured: it uses DFT lattice parameters and positions (PBE) and Cu Kα (λ = 1.5418 Å).
Peak positions follow from Bragg's law for the DFT cell and can differ from measured ones.

Cell and atoms:
Lattice parameters (Å, degrees): 7.8366 8.4280 13.7765 90.00 124.00 90.00
Fractional positions:
Cs: 0.2216 0.0771 0.2475
Cs: 0.2216 0.4229 0.7475
Cs: 0.7784 0.5771 0.2525
Cs: 0.7784 0.9229 0.7525
K: 0.0000 0.0000 0.5000
K: 0.0000 0.5000 0.0000
Cr: 0.5000 0.0000 0.0000
Cr: 0.5000 0.5000 0.5000
C: 0.2498 0.1282 0.9639
C: 0.2498 0.3718 0.4639
C: 0.3285 0.7038 0.4538
C: 0.3285 0.7962 0.9538
C: 0.4125 0.0279 0.8307
C: 0.4125 0.4721 0.3307
C: 0.5875 0.5279 0.6693
C: 0.5875 0.9721 0.1693
C: 0.6715 0.2038 0.0462
C: 0.6715 0.2962 0.5462
C: 0.7502 0.6282 0.5361
C: 0.7502 0.8718 0.0361
N: 0.1047 0.2017 0.9421
N: 0.1047 0.2983 0.4421
N: 0.2270 0.6807 0.9256
N: 0.2270 0.8193 0.4256
N: 0.3617 0.0468 0.7334
N: 0.3617 0.4532 0.2334
N: 0.6383 0.5468 0.7666
N: 0.6383 0.9532 0.2666
N: 0.7730 0.1807 0.5744
N: 0.7730 0.3193 0.0744
N: 0.8953 0.7017 0.5579
N: 0.8953 0.7983 0.0579

Peak list (10 most intense, 10 to 90 degrees two-theta, sorted by position)
d (Å)  2θ/deg  I (rel.)
5.725  15.5  35.1
4.214  21.1  32.5
4.065  21.9  100.0
4.031  22.1  99.0
3.954  22.5  31.6
3.918  22.7  45.8
2.869  31.2  34.6
2.855  31.3  35.0
2.579  34.8  33.1
2.297  39.2  32.4

---

No. 2
Diffraction record for Ga2W3Se6. The X-ray diffraction stick pattern is calculated, not measured: it uses DFT lattice parameters and positions (PBE) and Cu Kα (λ = 1.5418 Å).
Peak positions follow from Bragg's law for the DFT cell and can differ from measured ones.

Cell and atoms:
Lattice parameters (Å, degrees): 3.2995 3.2995 57.7121 90.00 90.00 120.00
Fractional positions:
Ga: 0.0000 0.0000 0.0000
Ga: 0.0000 0.0000 0.3191
Ga: 0.0000 0.0000 0.6525
Ga: 0.6667 0.3333 0.9634
W: 0.0000 0.0000 0.0774
W: 0.0000 0.0000 0.4047
W: 0.0000 0.0000 0.7380
W: 0.6667 0.3333 0.2304
W: 0.6667 0.3333 0.5637
W: 0.6667 0.3333 0.8861
Se: 0.0000 0.0000 0.2010
Se: 0.0000 0.0000 0.2599
Se: 0.0000 0.0000 0.5343
Se: 0.0000 0.0000 0.5931
Se: 0.0000 0.0000 0.8568
Se: 0.0000 0.0000 0.9155
Se: 0.6667 0.3333 0.0479
Se: 0.6667 0.3333 0.1067
Se: 0.6667 0.3333 0.3753
Se: 0.6667 0.3333 0.4341
Se: 0.6667 0.3333 0.7087
Se: 0.6667 0.3333 0.7674

Peak list (10 most intense, 10 to 90 degrees two-theta, sorted by position)
d (Å)  2θ/deg  I (rel.)
6.412  13.8  34.0
2.857  31.3  61.5
2.739  32.7  29.2
2.610  34.4  50.4
2.457  36.6  44.1
2.294  39.3  100.0
2.134  42.4  37.5
1.840  49.5  20.6
1.650  55.7  50.5
1.626  56.6  23.6

---

No. 3
Diffraction record for CrIn2S4. The X-ray diffraction stick pattern is calculated, not measured: it uses DFT lattice parameters and positions (PBE) and Cu Kα (λ = 1.5418 Å).
Peak positions follow from Bragg's law for the DFT cell and can differ from measured ones.

Cell and atoms:
Lattice parameters (Å, degrees): 7.6007 7.6007 7.6007 120.90 118.63 90.42
Fractional positions:
Cr: 0.5000 0.0000 0.0000
Cr: 0.5000 0.5000 0.5000
In: 0.0000 0.0000 0.0000
In: 0.1160 0.3660 0.7500
In: 0.5000 0.0000 0.5000
In: 0.8840 0.6340 0.2500
S: 0.2716 0.2596 0.4880
S: 0.2716 0.7836 0.0120
S: 0.2870 0.2456 0.0414
S: 0.2959 0.7544 0.5414
S: 0.7041 0.2456 0.4586
S: 0.7130 0.7544 0.9586
S: 0.7284 0.2164 0.9880
S: 0.7284 0.7404 0.5120

Peak list (10 most intense, 10 to 90 degrees two-theta, sorted by position)
d (Å)  2θ/deg  I (rel.)
3.799  23.4  53.2
3.748  23.7  29.4
3.280  27.2  95.4
3.221  27.7  100.0
2.696  33.2  24.3
2.088  43.3  27.2
2.063  43.9  46.7
1.940  46.8  21.0
1.900  47.9  82.4
1.874  48.6  21.6

---

No. 4
Diffraction record for Li2UO4. The X-ray diffraction stick pattern is calculated, not measured: it uses DFT lattice parameters and positions (PBE) and Cu Kα (λ = 1.5418 Å).
Peak positions follow from Bragg's law for the DFT cell and can differ from measured ones.

Cell and atoms:
Lattice parameters (Å, degrees): 10.6738 6.1050 5.1822 90.00 90.00 90.00
Fractional positions:
Li: 0.0000 0.0000 0.0000
Li: 0.0000 0.5000 0.0000
Li: 0.0762 0.2500 0.4598
Li: 0.4238 0.7500 0.9598
Li: 0.5000 0.0000 0.5000
Li: 0.5000 0.5000 0.5000
Li: 0.5762 0.2500 0.0402
Li: 0.9238 0.7500 0.5402
U: 0.2384 0.7500 0.5123
U: 0.2616 0.2500 0.0123
U: 0.7384 0.7500 0.9877
U: 0.7616 0.2500 0.4877
O: 0.0860 0.7500 0.7144
O: 0.1023 0.2500 0.8262
O: 0.1673 0.0136 0.2661
O: 0.1673 0.4864 0.2661
O: 0.3327 0.5136 0.7661
O: 0.3327 0.9864 0.7661
O: 0.3977 0.7500 0.3262
O: 0.4140 0.2500 0.2144
O: 0.5860 0.7500 0.7856
O: 0.6023 0.2500 0.6738
O: 0.6673 0.0136 0.2339
O: 0.6673 0.4864 0.2339
O: 0.8327 0.5136 0.7339
O: 0.8327 0.9864 0.7339
O: 0.8977 0.7500 0.1738
O: 0.9140 0.2500 0.2856

Peak list (10 most intense, 10 to 90 degrees two-theta, sorted by position)
d (Å)  2θ/deg  I (rel.)
5.337  16.6  53.5
3.705  24.0  100.0
3.052  29.3  15.1
2.646  33.9  52.6
2.331  38.6  12.5
1.975  45.9  10.3
1.878  48.5  13.2
1.865  48.8  15.5
1.853  49.2  17.6
1.672  54.9  9.9

---

No. 5
Diffraction record for Mo2C. The X-ray diffraction stick pattern is calculated, not measured: it uses DFT lattice parameters and positions (PBE) and Cu Kα (λ = 1.5418 Å).
Peak positions follow from Bragg's law for the DFT cell and can differ from measured ones.

Cell and atoms:
Lattice parameters (Å, degrees): 3.0731 3.0731 4.6525 90.00 90.00 120.00
Fractional positions:
Mo: 0.3333 0.6667 0.2499
Mo: 0.6667 0.3333 0.7501
C: 0.0000 0.0000 0.5000

Peak list (10 most intense, 10 to 90 degrees two-theta, sorted by position)
d (Å)  2θ/deg  I (rel.)
2.661  33.7  19.9
2.326  38.7  20.3
2.310  39.0  100.0
1.751  52.2  16.4
1.537  60.2  19.3
1.340  70.2  16.8
1.282  73.9  17.9
1.279  74.1  14.5
1.163  83.0  2.6
1.155  83.7  4.2

---

No. 6
Diffraction record for NaMg6Zn. The X-ray diffraction stick pattern is calculated, not measured: it uses DFT lattice parameters and positions (PBE) and Cu Kα (λ = 1.5418 Å).
Peak positions follow from Bragg's law for the DFT cell and can differ from measured ones.

Cell and atoms:
Lattice parameters (Å, degrees): 5.1661 6.3903 10.9539 90.00 90.00 90.00
Fractional positions:
Na: 0.0000 0.0000 0.0000
Na: 0.0000 0.5000 0.5000
Mg: 0.0000 0.0000 0.4963
Mg: 0.0000 0.2453 0.2465
Mg: 0.0000 0.2547 0.7465
Mg: 0.0000 0.5000 0.9963
Mg: 0.0000 0.7453 0.7465
Mg: 0.0000 0.7547 0.2465
Mg: 0.5000 0.0000 0.6640
Mg: 0.5000 0.2471 0.4134
Mg: 0.5000 0.2529 0.9134
Mg: 0.5000 0.5000 0.1640
Mg: 0.5000 0.7471 0.9134
Mg: 0.5000 0.7529 0.4134
Zn: 0.5000 0.0000 0.1658
Zn: 0.5000 0.5000 0.6658

Peak list (10 most intense, 10 to 90 degrees two-theta, sorted by position)
d (Å)  2θ/deg  I (rel.)
5.520  16.1  17.3
3.767  23.6  19.5
2.760  32.4  25.6
2.583  34.7  39.0
2.434  36.9  100.0
2.420  37.2  48.4
1.886  48.3  16.2
1.585  58.2  16.3
1.461  63.7  18.6
1.351  69.6  18.3

---

No. 7
Diffraction record for Mg2Cu9O13. The X-ray diffraction stick pattern is calculated, not measured: it uses DFT lattice parameters and positions (PBE) and Cu Kα (λ = 1.5418 Å).
Peak positions follow from Bragg's law for the DFT cell and can differ from measured ones.

Cell and atoms:
Lattice parameters (Å, degrees): 5.1348 5.1348 16.2201 98.09 98.09 33.41
Fractional positions:
Mg: 0.2150 0.2150 0.2276
Mg: 0.7850 0.7850 0.7724
Cu: 0.0079 0.0079 0.6686
Cu: 0.0654 0.0654 0.8760
Cu: 0.2502 0.2502 0.5815
Cu: 0.3549 0.3549 0.9594
Cu: 0.5000 0.5000 0.5000
Cu: 0.6451 0.6451 0.0406
Cu: 0.7498 0.7498 0.4185
Cu: 0.9346 0.9346 0.1240
Cu: 0.9921 0.9921 0.3314
O: 0.0000 0.0000 0.0000
O: 0.1319 0.1319 0.4698
O: 0.1422 0.1422 0.7728
O: 0.2991 0.2991 0.0711
O: 0.3703 0.3703 0.6854
O: 0.3910 0.3910 0.3876
O: 0.4157 0.4157 0.8540
O: 0.5843 0.5843 0.1460
O: 0.6090 0.6090 0.6124
O: 0.6297 0.6297 0.3146
O: 0.7009 0.7009 0.9289
O: 0.8578 0.8578 0.2272
O: 0.8681 0.8681 0.5302

Peak list (10 most intense, 10 to 90 degrees two-theta, sorted by position)
d (Å)  2θ/deg  I (rel.)
8.022  11.0  100.0
2.514  35.7  72.2
2.504  35.9  78.4
2.457  36.6  79.1
2.161  41.8  34.4
2.135  42.3  36.4
2.095  43.2  57.6
2.056  44.1  38.0
2.002  45.3  41.1
1.956  46.4  35.2